1.
Structure and calculated powder XRD pattern of Cs4NaHf3H2F19 (a cell relaxed with GGA-PBE; Cu Kα X-rays).
Peak positions follow from Bragg's law for the DFT cell and can differ from measured ones.

Crystal structure
```
data_Cs4NaHf3H2F19
_cell_length_a 11.6298
_cell_length_b 6.9845
_cell_length_c 13.4700
_cell_angle_alpha 90.00
_cell_angle_beta 110.67
_cell_angle_gamma 90.00
_symmetry_space_group_name_H-M 'P 1 21/m 1'
_symmetry_Int_Tables_number 11
_symmetry_space_group_name_Hall '-P 2yb'
loop_
_atom_site_label
_atom_site_type_symbol
_atom_site_fract_x
_atom_site_fract_y
_atom_site_fract_z
Cs1 Cs 0.0240 0.2500 0.4281
Cs2 Cs 0.1438 0.7500 0.9268
Cs3 Cs 0.3628 0.7500 0.5759
Cs4 Cs 0.4701 0.2500 0.0837
Na1 Na 0.2363 0.2500 0.2495
Hf1 Hf 0.0944 0.7500 0.2475
Hf2 Hf 0.2699 0.2500 0.7510
Hf3 Hf 0.4160 0.7500 0.2545
H1 H 0.1239 0.2500 0.9960
H2 H 0.3689 0.2500 0.5020
F1 F 0.0116 0.2500 0.9159
F2 F 0.0847 0.0364 0.2412
F3 F 0.0931 0.2500 0.7664
F4 F 0.1000 0.7500 0.3984
F5 F 0.1826 0.0539 0.6383
F6 F 0.2008 0.2500 0.0612
F7 F 0.2168 0.7500 0.1595
F8 F 0.2835 0.7500 0.3432
F9 F 0.2891 0.2500 0.4400
F10 F 0.3013 0.0552 0.8692
F11 F 0.3762 0.0287 0.2590
F12 F 0.4072 0.7500 0.1032
F13 F 0.4174 0.0823 0.7367
F14 F 0.4805 0.2500 0.5832
```

Peak list (10 most intense, 2θ from 10° to 90°, low angle first)
| 2θ/deg | intensity | index |
| --- | --- | --- |
| 14.05 | 25 | 0 0 2 |
| 14.50 | 50 | 0 1 1 |
| 19.91 | 21 | 2 1 -1 |
| 24.73 | 100 | 0 1 3 |
| 25.51 | 59 | 0 2 0 |
| 26.87 | 67 | 3 1 -2 |
| 27.71 | 20 | 3 1 0 |
| 27.90 | 29 | 3 0 1 |
| 38.15 | 26 | 3 2 1 |
| 44.49 | 23 | 0 3 3 |


2.
Structure and calculated powder XRD pattern of CsHIF7 (a cell relaxed with GGA-PBE; Cu Kα X-rays).
Peak positions follow from Bragg's law for the DFT cell and can differ from measured ones.

Crystal structure
```
data_CsHIF7
_cell_length_a 5.4234
_cell_length_b 8.3077
_cell_length_c 8.6362
_cell_angle_alpha 109.39
_cell_angle_beta 107.53
_cell_angle_gamma 91.86
_symmetry_space_group_name_H-M 'P -1'
_symmetry_Int_Tables_number 2
_symmetry_space_group_name_Hall '-P 1'
loop_
_atom_site_label
_atom_site_type_symbol
_atom_site_fract_x
_atom_site_fract_y
_atom_site_fract_z
Cs1 Cs 0.1535 0.3328 0.2296
H1 H 0.1825 0.7215 0.5571
I1 I 0.3063 0.1509 0.7387
F1 F 0.0528 0.8525 0.5302
F2 F 0.1143 0.3336 0.8360
F3 F 0.2239 0.0391 0.8898
F4 F 0.2705 0.6236 0.5868
F5 F 0.4093 0.9857 0.2823
F6 F 0.4320 0.7198 0.0455
F7 F 0.4747 0.3094 0.6645
```

Peak list (10 most intense, 2θ from 10° to 90°, low angle first)
| 2θ/deg | intensity | index |
| --- | --- | --- |
| 19.33 | 19 | 1 -1 0 |
| 21.68 | 100 | 0 2 -1 |
| 22.19 | 56 | 1 1 0 |
| 23.14 | 51 | 0 0 2 |
| 23.39 | 48 | 1 -1 1 |
| 23.92 | 56 | 1 1 -2 |
| 29.30 | 23 | 0 2 1 |
| 39.03 | 27 | 1 1 2 |
| 40.51 | 27 | -1 3 1 |
| 40.72 | 28 | 1 3 -3 |


3.
Structure and calculated powder XRD pattern of CsPH3O3F (a cell relaxed with GGA-PBE; Cu Kα X-rays).
Peak positions follow from Bragg's law for the DFT cell and can differ from measured ones.

Crystal structure
```
data_CsPH3O3F
_cell_length_a 5.7509
_cell_length_b 4.9694
_cell_length_c 18.6561
_cell_angle_alpha 90.00
_cell_angle_beta 92.94
_cell_angle_gamma 90.00
_symmetry_space_group_name_H-M 'P 1 21/c 1'
_symmetry_Int_Tables_number 14
_symmetry_space_group_name_Hall '-P 2ybc'
loop_
_atom_site_label
_atom_site_type_symbol
_atom_site_fract_x
_atom_site_fract_y
_atom_site_fract_z
Cs1 Cs 0.2216 0.1604 0.4152
P1 P 0.3004 0.2120 0.1753
H1 H 0.1821 0.0549 0.2249
H2 H 0.2437 0.5274 0.5586
H3 H 0.3233 0.5743 0.2442
O1 O 0.1843 0.1678 0.1006
O2 O 0.2418 0.5140 0.1959
O3 O 0.4403 0.6513 0.3165
F1 F 0.2788 0.6849 0.5213
```

Peak list (10 most intense, 2θ from 10° to 90°, low angle first)
| 2θ/deg | intensity | index |
| --- | --- | --- |
| 18.53 | 56 | 1 0 2 |
| 19.05 | 26 | 0 0 4 |
| 23.68 | 100 | 1 1 0 |
| 23.97 | 65 | 1 0 -4 |
| 25.24 | 49 | 1 0 4 |
| 26.22 | 91 | 0 1 4 |
| 27.32 | 43 | 1 1 -3 |
| 28.16 | 26 | 1 1 3 |
| 30.03 | 48 | 1 1 -4 |
| 31.12 | 75 | 2 0 0 |


4.
Structure and calculated powder XRD pattern of CsPHO3F (a cell relaxed with GGA-PBE; Cu Kα X-rays).
Peak positions follow from Bragg's law for the DFT cell and can differ from measured ones.

Crystal structure
```
data_CsPHO3F
_cell_length_a 5.5209
_cell_length_b 6.0150
_cell_length_c 7.9588
_cell_angle_alpha 110.15
_cell_angle_beta 98.28
_cell_angle_gamma 91.30
_symmetry_space_group_name_H-M 'P -1'
_symmetry_Int_Tables_number 2
_symmetry_space_group_name_Hall '-P 1'
loop_
_atom_site_label
_atom_site_type_symbol
_atom_site_fract_x
_atom_site_fract_y
_atom_site_fract_z
Cs1 Cs 0.0938 0.3644 0.2274
P1 P 0.3412 0.1288 0.7357
H1 H 0.4726 0.8133 0.5320
O1 O 0.1181 0.1660 0.8253
O2 O 0.3697 0.8550 0.6388
O3 O 0.3850 0.2713 0.6162
F1 F 0.4242 0.7953 0.1036
```

Peak list (10 most intense, 2θ from 10° to 90°, low angle first)
| 2θ/deg | intensity | index |
| --- | --- | --- |
| 16.27 | 27 | 1 0 0 |
| 23.49 | 100 | 1 -1 1 |
| 23.59 | 98 | 1 1 0 |
| 24.14 | 88 | 0 0 2 |
| 26.36 | 82 | -1 1 1 |
| 27.33 | 74 | 1 1 -2 |
| 29.73 | 55 | 0 2 -1 |
| 31.42 | 38 | 1 0 2 |
| 33.17 | 39 | 2 0 -1 |
| 45.54 | 27 | 2 0 -3 |


5.
Structure and calculated powder XRD pattern of Cs2HfF6 (a cell relaxed with GGA-PBE; Cu Kα X-rays).
Peak positions follow from Bragg's law for the DFT cell and can differ from measured ones.

Crystal structure
```
data_Cs2HfF6
_cell_length_a 6.4824
_cell_length_b 6.4824
_cell_length_c 5.1397
_cell_angle_alpha 90.00
_cell_angle_beta 90.00
_cell_angle_gamma 120.00
_symmetry_space_group_name_H-M 'P -3 m 1'
_symmetry_Int_Tables_number 164
_symmetry_space_group_name_Hall '-P 3 2"'
loop_
_atom_site_label
_atom_site_type_symbol
_atom_site_fract_x
_atom_site_fract_y
_atom_site_fract_z
Cs1 Cs 0.3333 0.6667 0.1905
Hf1 Hf 0.0000 0.0000 0.5000
F1 F 0.1494 0.2989 0.7173
```

Peak list (10 most intense, 2θ from 10° to 90°, low angle first)
| 2θ/deg | intensity | index |
| --- | --- | --- |
| 23.47 | 100 | 1 0 1 |
| 27.52 | 62 | 1 1 0 |
| 36.47 | 51 | 0 2 1 |
| 38.53 | 27 | 0 1 2 |
| 46.29 | 29 | 2 1 1 |
| 48.00 | 19 | 2 0 2 |
| 56.22 | 23 | 1 2 2 |
| 56.81 | 14 | 2 2 0 |
| 61.19 | 15 | 1 1 3 |
| 62.31 | 14 | 1 3 1 |


What did the fifth record say?
Structure and calculated powder XRD pattern of Cs2HfF6 (a cell relaxed with GGA-PBE; Cu Kα X-rays).
Peak positions follow from Bragg's law for the DFT cell and can differ from measured ones.

Crystal structure
```
data_Cs2HfF6
_cell_length_a 6.4824
_cell_length_b 6.4824
_cell_length_c 5.1397
_cell_angle_alpha 90.00
_cell_angle_beta 90.00
_cell_angle_gamma 120.00
_symmetry_space_group_name_H-M 'P -3 m 1'
_symmetry_Int_Tables_number 164
_symmetry_space_group_name_Hall '-P 3 2"'
loop_
_atom_site_label
_atom_site_type_symbol
_atom_site_fract_x
_atom_site_fract_y
_atom_site_fract_z
Cs1 Cs 0.3333 0.6667 0.1905
Hf1 Hf 0.0000 0.0000 0.5000
F1 F 0.1494 0.2989 0.7173
```

Peak list (10 most intense, 2θ from 10° to 90°, low angle first)
| 2θ/deg | intensity | index |
| --- | --- | --- |
| 23.47 | 100 | 1 0 1 |
| 27.52 | 62 | 1 1 0 |
| 36.47 | 51 | 0 2 1 |
| 38.53 | 27 | 0 1 2 |
| 46.29 | 29 | 2 1 1 |
| 48.00 | 19 | 2 0 2 |
| 56.22 | 23 | 1 2 2 |
| 56.81 | 14 | 2 2 0 |
| 61.19 | 15 | 1 1 3 |
| 62.31 | 14 | 1 3 1 |